Diffraction record for Ca6SbAs2Br3. The XRD peak list is calculated, not measured: it uses a PBE-relaxed structure and Cu Kα.

Largest 8 diffraction maxima, in order of rising 2θ, 10° ≤ 2θ ≤ 80°:
| Position (°2θ) | I_rel |
| --- | --- |
| 24.7 | 27 |
| 28.5 | 50 |
| 28.7 | 100 |
| 40.8 | 38 |
| 41.1 | 52 |
| 41.1 | 16 |
| 50.7 | 19 |
| 67.3 | 14 |

Cell and atoms:
```
data_Ca6SbAs2Br3
_chemical_formula_sum 'Ca12 Sb2 As4 Br6'
_space_group_name_H-M_alt 'C 1 2/m 1'
_space_group_IT_number 12
_cell_length_a 19.2265
_cell_length_b 4.4018
_cell_length_c 8.7767
_cell_angle_alpha 90.00
_cell_angle_beta 102.60
_cell_angle_gamma 90.00
loop_
_space_group_symop_operation_xyz
'x,y,z'
'-x,-y,-z'
'-x,y,-z'
'x,-y,z'
'x+1/2,y+1/2,z'
'-x+1/2,-y+1/2,-z'
'-x+1/2,y+1/2,-z'
'x+1/2,-y+1/2,z'
loop_
_atom_site_label
_atom_site_fract_x
_atom_site_fract_y
_atom_site_fract_z
_atom_site_occupancy
Ca1 0.0131 0.0000 0.2433 1
Ca2 0.1631 0.5000 0.1174 1
Ca3 0.1783 0.5000 0.5633 1
Sb1 0.0000 0.5000 0.0000 1
As1 0.1674 0.0000 0.3398 1
Br1 0.0000 0.5000 0.5000 1
Br2 0.1702 0.0000 0.8350 1
```